This entry pairs a crystal structure of Li2U3P4O20 with its simulated PXRD pattern. Radiation: Cu Ka. Structure: a PBE-relaxed structure.
Kinematic intensities with the Lorentz-polarization factor, no thermal factor.

Crystal structure
Lattice parameters (Å, degrees): 5.409 6.778 12.679 94.83 99.14 110.45
Space group P-1 (No. 2)
Unique sites:
Li 0.108 0.074 0.311
U 0.382 0.843 0.131
U 0.500 0.500 0.500
P 0.021 0.428 0.685
P 0.493 0.329 0.143
O 0.045 0.755 0.055
O 0.125 0.435 0.367
O 0.178 0.776 0.287
O 0.193 0.567 0.800
O 0.213 0.385 0.618
O 0.276 0.053 0.788
O 0.346 0.169 0.212
O 0.390 0.508 0.127
O 0.442 0.222 0.456
O 0.491 0.190 0.040

Top 8 peaks for 2θ from 10° to 80°, sorted by position:
two_theta	I_rel	hkl
16.8	1000	0 1 1
17.9	675	1 0 0
18.6	420	0 1 -2
19.1	310	-1 1 1
20.2	425	1 -1 1
21.5	419	0 0 3
25.1	982	1 0 -3
28.2	514	0 2 -1